1.
Starting from the PBE geometry in Alexandria, the powder XRD pattern of Th4TlCd3 was calculated for Cu Kα (weighted mean of Kα1 and Kα2).
Kinematic intensities with the Lorentz-polarization factor, no thermal factor.

Structure:
```
data_Th4TlCd3
_chemical_formula_sum 'Th8 Tl2 Cd6'
_space_group_name_H-M_alt 'P m m a'
_space_group_IT_number 51
_cell_length_a 11.301
_cell_length_b 6.756
_cell_length_c 5.903
_cell_angle_alpha 90.00
_cell_angle_beta 90.00
_cell_angle_gamma 90.00
loop_
_space_group_symop_operation_xyz
'x,y,z'
'-x,-y,-z'
'-x+1/2,-y,z'
'x+1/2,y,-z'
'x+1/2,-y,-z'
'-x+1/2,y,z'
'-x,y,-z'
'x,-y,z'
loop_
_atom_site_label
_atom_site_type_symbol
_atom_site_fract_x
_atom_site_fract_y
_atom_site_fract_z
Th1 Th 0.000 0.248 0.000
Th2 Th 0.250 0.248 0.363
Tl1 Tl 0.000 0.500 0.500
Cd1 Cd 0.000 0.000 0.500
Cd2 Cd 0.250 0.000 0.856
Cd3 Cd 0.250 0.500 0.862
```

Peak list (10 most intense, 10 to 90 degrees two-theta, by angle)
2θ (°), Rel. int., hkl
31.32, 20, 1 0 2
31.52, 23, 1 2 1
31.67, 45, 4 0 0
34.28, 27, 2 0 2
34.46, 100, 2 2 1
38.93, 13, 3 2 1
53.93, 18, 0 2 3
58.22, 23, 6 2 1
63.90, 21, 4 2 3
64.25, 12, 4 4 0

***

2.
Starting from the PBE geometry in Alexandria, the powder XRD pattern of Pr8Os3NCl4 was calculated for Cu Kα (weighted mean of Kα1 and Kα2).
Kinematic intensities with the Lorentz-polarization factor, no thermal factor.

Structure:
```
data_Pr8Os3NCl4
_chemical_formula_sum 'Pr24 Os9 N3 Cl12'
_space_group_name_H-M_alt 'R -3 m'
_space_group_IT_number 166
_space_group_name_Hall '-R 3 2"'
_cell_length_a 8.0891
_cell_length_b 8.0891
_cell_length_c 22.8010
_cell_angle_alpha 90.00
_cell_angle_beta 90.00
_cell_angle_gamma 120.00
loop_
_atom_site_label
_atom_site_type_symbol
_atom_site_fract_x
_atom_site_fract_y
_atom_site_fract_z
Pr1 Pr 0.0000 0.0000 0.2389
Pr2 Pr 0.0176 0.5088 0.2308
Os1 Os 0.0000 0.5000 0.5000
N1 N 0.0000 0.0000 0.5000
Cl1 Cl 0.0000 0.0000 0.0000
Cl2 Cl 0.0000 0.5000 0.0000
```

Peak list (10 most intense, 10 to 90 degrees two-theta, by angle)
2θ (°), Rel. int., hkl
11.64, 59, 0 0 3
29.94, 100, 0 2 4
37.71, 25, 0 2 7
40.82, 29, 2 0 8
44.82, 36, 2 2 0
46.47, 12, 2 2 3
51.21, 16, 2 0 11
54.84, 17, 4 0 4
73.43, 14, 2 4 4
78.76, 9, 2 2 15